[1]
Starting from DFT lattice parameters and positions (GGA-PBE), the PXRD pattern of PmHoSbS was calculated for Cu Ka.
Peak positions follow from Bragg's law for the DFT cell and can differ from measured ones.

Top 8 peaks for 2θ from 10° to 90°, low angle first:
| 2θ (°) | d/Å | I/Imax |
| --- | --- | --- |
| 25.43 | 3.502 | 209 |
| 26.38 | 3.378 | 761 |
| 32.30 | 2.771 | 1000 |
| 38.06 | 2.364 | 689 |
| 44.23 | 2.048 | 563 |
| 55.82 | 1.647 | 208 |
| 59.74 | 1.548 | 183 |
| 68.32 | 1.373 | 289 |

Cell and atoms:
```
data_PmHoSbS
_symmetry_space_group_name_H-M 'R 3 m'
_symmetry_Int_Tables_number 160
_symmetry_space_group_name_Hall 'R 3 -2"'
_cell_length_a 4.0952
_cell_length_b 4.0952
_cell_length_c 22.2052
_cell_angle_alpha 90.00
_cell_angle_beta 90.00
_cell_angle_gamma 120.00
loop_
_atom_site_label
_atom_site_type_symbol
_atom_site_fract_x
_atom_site_fract_y
_atom_site_fract_z
Pm1 Pm 0.0000 0.0000 0.0000
Ho1 Ho 0.0000 0.0000 0.1613
Sb1 Sb 0.0000 0.0000 0.5771
S1 S 0.0000 0.0000 0.7528
```

[2]
Starting from DFT lattice parameters and positions (GGA-PBE), the PXRD pattern of Pm3HoSc2S6 was calculated for Cu Ka.
Peak positions follow from Bragg's law for the DFT cell and can differ from measured ones.

Top 8 peaks for 2θ from 10° to 90°, low angle first:
| 2θ (°) | d/Å | I/Imax |
| --- | --- | --- |
| 27.58 | 3.234 | 179 |
| 28.20 | 3.165 | 439 |
| 32.49 | 2.756 | 1000 |
| 46.18 | 1.966 | 236 |
| 46.29 | 1.961 | 117 |
| 46.92 | 1.936 | 116 |
| 47.06 | 1.931 | 230 |
| 58.24 | 1.584 | 121 |

Cell and atoms:
```
data_Pm3HoSc2S6
_symmetry_space_group_name_H-M 'C 1 2/m 1'
_symmetry_Int_Tables_number 12
_cell_length_a 6.6839
_cell_length_b 11.6184
_cell_length_c 6.8458
_cell_angle_alpha 90.00
_cell_angle_beta 109.10
_cell_angle_gamma 90.00
loop_
_symmetry_equiv_pos_as_xyz
'x,y,z'
'-x,-y,-z'
'-x,y,-z'
'x,-y,z'
'x+1/2,y+1/2,z'
'-x+1/2,-y+1/2,-z'
'-x+1/2,y+1/2,-z'
'x+1/2,-y+1/2,z'
loop_
_atom_site_label
_atom_site_type_symbol
_atom_site_fract_x
_atom_site_fract_y
_atom_site_fract_z
Pm1 Pm 0.0000 0.0000 0.0000
Pm2 Pm 0.0000 0.3362 0.0000
Ho1 Ho 0.0000 0.5000 0.5000
Sc1 Sc 0.0000 0.1665 0.5000
S1 S 0.2329 0.0000 0.7246
S2 S 0.2465 0.3292 0.7276
```

[3]
Starting from DFT lattice parameters and positions (GGA-PBE), the PXRD pattern of TbPm4HoS8 was calculated for Cu Ka.
Peak positions follow from Bragg's law for the DFT cell and can differ from measured ones.

Top 8 peaks for 2θ from 10° to 90°, low angle first:
| 2θ (°) | d/Å | I/Imax |
| --- | --- | --- |
| 21.66 | 4.103 | 275 |
| 25.46 | 3.499 | 1000 |
| 30.82 | 2.901 | 180 |
| 37.98 | 2.369 | 127 |
| 40.38 | 2.233 | 431 |
| 44.14 | 2.052 | 580 |
| 61.34 | 1.511 | 187 |
| 81.17 | 1.185 | 141 |

Cell and atoms:
```
data_TbPm4HoS8
_symmetry_space_group_name_H-M 'R 3 m'
_symmetry_Int_Tables_number 160
_symmetry_space_group_name_Hall 'R 3 -2"'
_cell_length_a 8.2129
_cell_length_b 8.2129
_cell_length_c 20.0685
_cell_angle_alpha 90.00
_cell_angle_beta 90.00
_cell_angle_gamma 120.00
loop_
_atom_site_label
_atom_site_type_symbol
_atom_site_fract_x
_atom_site_fract_y
_atom_site_fract_z
Tb1 Tb 0.0000 0.0000 0.0000
Pm1 Pm 0.0000 0.0000 0.3765
Pm2 Pm 0.0027 0.5013 0.5012
Ho1 Ho 0.0000 0.0000 0.6255
S1 S 0.0000 0.0000 0.2435
S2 S 0.0000 0.0000 0.7545
S3 S 0.0261 0.5131 0.7516
S4 S 0.1744 0.3489 0.5849
```

[4]
Starting from DFT lattice parameters and positions (GGA-PBE), the PXRD pattern of PmHo2TmS4 was calculated for Cu Ka.
Peak positions follow from Bragg's law for the DFT cell and can differ from measured ones.

Top 8 peaks for 2θ from 10° to 90°, low angle first:
| 2θ (°) | d/Å | I/Imax |
| --- | --- | --- |
| 27.58 | 3.234 | 213 |
| 27.88 | 3.200 | 207 |
| 28.13 | 3.172 | 404 |
| 32.36 | 2.766 | 1000 |
| 45.91 | 1.977 | 124 |
| 46.22 | 1.964 | 243 |
| 46.60 | 1.949 | 238 |
| 58.17 | 1.586 | 122 |

Cell and atoms:
```
data_PmHo2TmS4
_symmetry_space_group_name_H-M 'P 1 2/m 1'
_symmetry_Int_Tables_number 10
_cell_length_a 6.7672
_cell_length_b 3.8702
_cell_length_c 6.8382
_cell_angle_alpha 90.00
_cell_angle_beta 108.94
_cell_angle_gamma 90.00
loop_
_symmetry_equiv_pos_as_xyz
'x,y,z'
'-x,-y,-z'
'-x,y,-z'
'x,-y,z'
loop_
_atom_site_label
_atom_site_type_symbol
_atom_site_fract_x
_atom_site_fract_y
_atom_site_fract_z
Pm1 Pm 0.0000 0.0000 0.0000
Ho1 Ho 0.5000 0.0000 0.5000
Ho2 Ho 0.5000 0.5000 0.0000
Tm1 Tm 0.0000 0.5000 0.5000
S1 S 0.2514 0.0000 0.7423
S2 S 0.2578 0.5000 0.2610
```

[5]
Starting from DFT lattice parameters and positions (GGA-PBE), the PXRD pattern of Pm4YHoS8 was calculated for Cu Ka.
Peak positions follow from Bragg's law for the DFT cell and can differ from measured ones.

Top 8 peaks for 2θ from 10° to 90°, low angle first:
| 2θ (°) | d/Å | I/Imax |
| --- | --- | --- |
| 21.68 | 4.100 | 318 |
| 25.47 | 3.498 | 1000 |
| 30.83 | 2.900 | 157 |
| 37.98 | 2.369 | 125 |
| 40.40 | 2.232 | 397 |
| 44.17 | 2.050 | 579 |
| 61.37 | 1.511 | 195 |
| 81.21 | 1.185 | 140 |

Cell and atoms:
```
data_Pm4YHoS8
_symmetry_space_group_name_H-M 'R 3 m'
_symmetry_Int_Tables_number 160
_symmetry_space_group_name_Hall 'R 3 -2"'
_cell_length_a 8.2107
_cell_length_b 8.2107
_cell_length_c 20.0484
_cell_angle_alpha 90.00
_cell_angle_beta 90.00
_cell_angle_gamma 120.00
loop_
_atom_site_label
_atom_site_type_symbol
_atom_site_fract_x
_atom_site_fract_y
_atom_site_fract_z
Pm1 Pm 0.0000 0.0000 0.0000
Pm2 Pm 0.1680 0.3360 0.2087
Y1 Y 0.0000 0.0000 0.3766
Ho1 Ho 0.0000 0.0000 0.7511
S1 S 0.0000 0.0000 0.1331
S2 S 0.0000 0.0000 0.6221
S3 S 0.0160 0.5080 0.1248
S4 S 0.1799 0.3598 0.9585
```

[6]
Starting from DFT lattice parameters and positions (GGA-PBE), the PXRD pattern of PmHo3Sb3 was calculated for Cu Ka.
Peak positions follow from Bragg's law for the DFT cell and can differ from measured ones.

Top 8 peaks for 2θ from 10° to 90°, low angle first:
| 2θ (°) | d/Å | I/Imax |
| --- | --- | --- |
| 19.63 | 4.522 | 387 |
| 29.16 | 3.063 | 539 |
| 30.59 | 2.923 | 515 |
| 31.76 | 2.818 | 752 |
| 34.35 | 2.611 | 956 |
| 35.40 | 2.536 | 1000 |
| 36.09 | 2.489 | 499 |
| 45.66 | 1.987 | 271 |

Cell and atoms:
```
data_PmHo3Sb3
_symmetry_space_group_name_H-M 'R -3'
_symmetry_Int_Tables_number 148
_symmetry_space_group_name_Hall '-R 3'
_cell_length_a 9.0446
_cell_length_b 9.0446
_cell_length_c 18.3771
_cell_angle_alpha 90.00
_cell_angle_beta 90.00
_cell_angle_gamma 120.00
loop_
_atom_site_label
_atom_site_type_symbol
_atom_site_fract_x
_atom_site_fract_y
_atom_site_fract_z
Pm1 Pm 0.0000 0.0000 0.1658
Ho1 Ho 0.0023 0.2661 0.5844
Sb1 Sb 0.0038 0.3828 0.4174
```

[7]
Starting from DFT lattice parameters and positions (GGA-PBE), the PXRD pattern of Pm3Ho2Sb3 was calculated for Cu Ka.
Peak positions follow from Bragg's law for the DFT cell and can differ from measured ones.

Top 8 peaks for 2θ from 10° to 90°, low angle first:
| 2θ (°) | d/Å | I/Imax |
| --- | --- | --- |
| 29.94 | 2.984 | 348 |
| 30.08 | 2.971 | 192 |
| 33.11 | 2.705 | 1000 |
| 34.07 | 2.632 | 545 |
| 34.19 | 2.622 | 907 |
| 49.04 | 1.858 | 232 |
| 52.67 | 1.738 | 267 |
| 65.93 | 1.417 | 198 |

Cell and atoms:
```
data_Pm3Ho2Sb3
_symmetry_space_group_name_H-M 'P 63/m c m'
_symmetry_Int_Tables_number 193
_symmetry_space_group_name_Hall '-P 6c 2'
_cell_length_a 9.1164
_cell_length_b 9.1164
_cell_length_c 6.4123
_cell_angle_alpha 90.00
_cell_angle_beta 90.00
_cell_angle_gamma 120.00
loop_
_atom_site_label
_atom_site_type_symbol
_atom_site_fract_x
_atom_site_fract_y
_atom_site_fract_z
Pm1 Pm 0.0000 0.2479 0.2500
Ho1 Ho 0.3333 0.6667 0.0000
Sb1 Sb 0.0000 0.3924 0.7500
```

[8]
Starting from DFT lattice parameters and positions (GGA-PBE), the PXRD pattern of Pm5Ho2Sb5 was calculated for Cu Ka.
Peak positions follow from Bragg's law for the DFT cell and can differ from measured ones.

Top 8 peaks for 2θ from 10° to 90°, low angle first:
| 2θ (°) | d/Å | I/Imax |
| --- | --- | --- |
| 27.28 | 3.269 | 634 |
| 28.11 | 3.174 | 1000 |
| 28.47 | 3.135 | 936 |
| 29.60 | 3.018 | 772 |
| 30.86 | 2.897 | 572 |
| 31.48 | 2.841 | 687 |
| 40.65 | 2.220 | 467 |
| 40.76 | 2.214 | 665 |

Cell and atoms:
```
data_Pm5Ho2Sb5
_symmetry_space_group_name_H-M 'C 1 2/m 1'
_symmetry_Int_Tables_number 12
_cell_length_a 14.5459
_cell_length_b 4.4274
_cell_length_c 12.7718
_cell_angle_alpha 90.00
_cell_angle_beta 110.33
_cell_angle_gamma 90.00
loop_
_symmetry_equiv_pos_as_xyz
'x,y,z'
'-x,-y,-z'
'-x,y,-z'
'x,-y,z'
'x+1/2,y+1/2,z'
'-x+1/2,-y+1/2,-z'
'-x+1/2,y+1/2,-z'
'x+1/2,-y+1/2,z'
loop_
_atom_site_label
_atom_site_type_symbol
_atom_site_fract_x
_atom_site_fract_y
_atom_site_fract_z
Pm1 Pm 0.0000 0.0000 0.0000
Pm2 Pm 0.1606 0.0000 0.5380
Pm3 Pm 0.2261 0.0000 0.8460
Ho1 Ho 0.0461 0.5000 0.2893
Sb1 Sb 0.0000 0.5000 0.5000
Sb2 Sb 0.1164 0.5000 0.9254
Sb3 Sb 0.1892 0.0000 0.2882
```

[9]
Starting from DFT lattice parameters and positions (GGA-PBE), the PXRD pattern of PmHo4Sb5 was calculated for Cu Ka.
Peak positions follow from Bragg's law for the DFT cell and can differ from measured ones.

Top 8 peaks for 2θ from 10° to 90°, low angle first:
| 2θ (°) | d/Å | I/Imax |
| --- | --- | --- |
| 24.82 | 3.587 | 35 |
| 28.74 | 3.106 | 1000 |
| 41.09 | 2.197 | 761 |
| 50.92 | 1.793 | 271 |
| 59.52 | 1.553 | 127 |
| 67.41 | 1.389 | 347 |
| 74.87 | 1.268 | 257 |
| 89.16 | 1.098 | 85 |

Cell and atoms:
```
data_PmHo4Sb5
_symmetry_space_group_name_H-M 'I m m m'
_symmetry_Int_Tables_number 71
_symmetry_space_group_name_Hall '-I 2 2'
_cell_length_a 4.3935
_cell_length_b 6.2138
_cell_length_c 21.9600
_cell_angle_alpha 90.00
_cell_angle_beta 90.00
_cell_angle_gamma 90.00
loop_
_atom_site_label
_atom_site_type_symbol
_atom_site_fract_x
_atom_site_fract_y
_atom_site_fract_z
Pm1 Pm 0.0000 0.0000 0.0000
Ho1 Ho 0.0000 0.0000 0.2015
Ho2 Ho 0.0000 0.0000 0.3999
Sb1 Sb 0.0000 0.5000 0.0000
Sb2 Sb 0.0000 0.5000 0.1994
Sb3 Sb 0.0000 0.5000 0.3969
```

[10]
Starting from DFT lattice parameters and positions (GGA-PBE), the PXRD pattern of Pm2SmHoSb4 was calculated for Cu Ka.
Peak positions follow from Bragg's law for the DFT cell and can differ from measured ones.

Top 8 peaks for 2θ from 10° to 90°, low angle first:
| 2θ (°) | d/Å | I/Imax |
| --- | --- | --- |
| 24.46 | 3.639 | 23 |
| 28.32 | 3.152 | 1000 |
| 40.48 | 2.228 | 763 |
| 50.14 | 1.820 | 273 |
| 58.58 | 1.576 | 128 |
| 66.32 | 1.409 | 350 |
| 73.62 | 1.287 | 258 |
| 87.56 | 1.114 | 85 |

Cell and atoms:
```
data_Pm2SmHoSb4
_symmetry_space_group_name_H-M 'P 1 2/m 1'
_symmetry_Int_Tables_number 10
_cell_length_a 7.7173
_cell_length_b 4.4592
_cell_length_c 7.7188
_cell_angle_alpha 90.00
_cell_angle_beta 109.48
_cell_angle_gamma 90.00
loop_
_symmetry_equiv_pos_as_xyz
'x,y,z'
'-x,-y,-z'
'-x,y,-z'
'x,-y,z'
loop_
_atom_site_label
_atom_site_type_symbol
_atom_site_fract_x
_atom_site_fract_y
_atom_site_fract_z
Pm1 Pm 0.0000 0.0000 0.0000
Pm2 Pm 0.0000 0.5000 0.5000
Sm1 Sm 0.5000 0.0000 0.5000
Ho1 Ho 0.5000 0.5000 0.0000
Sb1 Sb 0.2537 0.5000 0.2482
Sb2 Sb 0.2559 0.0000 0.7549
```

[11]
Starting from DFT lattice parameters and positions (GGA-PBE), the PXRD pattern of Pm6HoSc3 was calculated for Cu Ka.
Peak positions follow from Bragg's law for the DFT cell and can differ from measured ones.

Top 8 peaks for 2θ from 10° to 90°, low angle first:
| 2θ (°) | d/Å | I/Imax |
| --- | --- | --- |
| 29.09 | 3.070 | 635 |
| 29.62 | 3.016 | 327 |
| 31.52 | 2.839 | 554 |
| 31.84 | 2.811 | 1000 |
| 32.59 | 2.747 | 666 |
| 33.24 | 2.695 | 301 |
| 34.13 | 2.627 | 445 |
| 58.05 | 1.589 | 301 |

Cell and atoms:
```
data_Pm6HoSc3
_symmetry_space_group_name_H-M 'C m c 21'
_symmetry_Int_Tables_number 36
_cell_length_a 9.5366
_cell_length_b 20.8151
_cell_length_c 6.3018
_cell_angle_alpha 90.00
_cell_angle_beta 90.00
_cell_angle_gamma 90.00
loop_
_symmetry_equiv_pos_as_xyz
'x,y,z'
'-x,-y,z+1/2'
'-x,y,z'
'x,-y,z+1/2'
'x+1/2,y+1/2,z'
'-x+1/2,-y+1/2,z+1/2'
'-x+1/2,y+1/2,z'
'x+1/2,-y+1/2,z+1/2'
loop_
_atom_site_label
_atom_site_type_symbol
_atom_site_fract_x
_atom_site_fract_y
_atom_site_fract_z
Pm1 Pm 0.0000 0.0146 0.0000
Pm2 Pm 0.0000 0.3019 0.9696
Pm3 Pm 0.1760 0.2812 0.4516
Pm4 Pm 0.1787 0.4425 0.1874
Ho1 Ho 0.0000 0.1534 0.7582
Sc1 Sc 0.0000 0.4172 0.6696
Sc2 Sc 0.1672 0.1265 0.2840
```

[12]
Starting from DFT lattice parameters and positions (GGA-PBE), the PXRD pattern of Pm3Ho5Sc was calculated for Cu Ka.
Peak positions follow from Bragg's law for the DFT cell and can differ from measured ones.

Top 8 peaks for 2θ from 10° to 90°, low angle first:
| 2θ (°) | d/Å | I/Imax |
| --- | --- | --- |
| 29.00 | 3.079 | 713 |
| 29.30 | 3.048 | 509 |
| 31.21 | 2.866 | 1000 |
| 32.85 | 2.726 | 303 |
| 38.09 | 2.362 | 220 |
| 43.67 | 2.073 | 219 |
| 46.95 | 1.935 | 170 |
| 53.17 | 1.723 | 179 |

Cell and atoms:
```
data_Pm3Ho5Sc
_symmetry_space_group_name_H-M 'I 4/m c m'
_symmetry_Int_Tables_number 140
_symmetry_space_group_name_Hall '-I 4 2c'
_cell_length_a 8.6207
_cell_length_b 8.6207
_cell_length_c 15.3502
_cell_angle_alpha 90.00
_cell_angle_beta 90.00
_cell_angle_gamma 90.00
loop_
_atom_site_label
_atom_site_type_symbol
_atom_site_fract_x
_atom_site_fract_y
_atom_site_fract_z
Pm1 Pm 0.0000 0.0000 0.2500
Pm2 Pm 0.1185 0.3815 0.0000
Ho1 Ho 0.0000 0.0000 0.0000
Ho2 Ho 0.2064 0.2936 0.3597
Sc1 Sc 0.0000 0.5000 0.2500
```